Entry 1:
Tl2S5I2: calculated powder diffraction line list (Cu Kα, 1.54184 Å), based on a crystal structure in Alexandria, relaxed with PBE.
Neutral-atom scattering factors, no anomalous dispersion.

Largest 10 diffraction maxima, sorted by position, 2θ = 5–70°:
| 2θ (°) | I_rel |
| --- | --- |
| 10.59 | 100 |
| 21.27 | 36 |
| 21.59 | 22 |
| 24.77 | 34 |
| 29.55 | 61 |
| 29.66 | 59 |
| 30.98 | 21 |
| 31.08 | 23 |
| 38.66 | 23 |
| 43.96 | 30 |

Atomic structure:
Cell lengths 24.8402, 4.0770, 16.7088 Å; angles 90.00, 131.41, 90.00 degrees
Space group C2 (No. 5)
Asymmetric unit:
Tl 0.1315 0.0000 0.2004 x4
Tl 0.1335 0.5160 0.5642 x4
S 0.0035 0.9378 0.7859 x4
S 0.0059 0.5769 0.7153 x4
S 0.1475 0.9350 0.9360 x4
S 0.1517 0.5774 0.8673 x4
S 0.2492 0.0137 0.4740 x4
I 0.0000 0.0206 0.5000 x2
I 0.0000 0.4952 0.0000 x2
I 0.2496 0.0083 0.7740 x4

***

Entry 2:
Tl12S5I: calculated powder diffraction line list (Cu Kα, 1.54184 Å), based on a crystal structure in Alexandria, relaxed with PBE.
Neutral-atom scattering factors, no anomalous dispersion.

Largest 10 diffraction maxima, sorted by position, 2θ = 5–70°:
| 2θ (°) | I_rel |
| --- | --- |
| 26.80 | 100 |
| 28.14 | 24 |
| 29.08 | 14 |
| 29.26 | 30 |
| 33.66 | 13 |
| 33.86 | 26 |
| 42.27 | 24 |
| 42.41 | 12 |
| 47.43 | 14 |
| 51.69 | 15 |

Atomic structure:
Cell lengths 7.4142, 12.7876, 12.9362 Å; angles 90.00, 101.32, 90.00 degrees
Space group C2/m (No. 12)
Asymmetric unit:
Tl 0.0672 0.0000 0.3536 x4
Tl 0.1422 0.3083 0.3533 x8
Tl 0.2057 0.5000 0.1281 x4
Tl 0.2136 0.1642 0.1292 x8
S 0.0000 0.0000 0.0000 x2
S 0.0000 0.1668 0.5000 x4
S 0.0000 0.3306 0.0000 x4
I 0.0000 0.5000 0.5000 x2

***

Entry 3:
UTl2S2I2: calculated powder diffraction line list (Cu Kα, 1.54184 Å), based on a crystal structure in Alexandria, relaxed with PBE.
Neutral-atom scattering factors, no anomalous dispersion.

Largest 10 diffraction maxima, sorted by position, 2θ = 5–70°:
| 2θ (°) | I_rel |
| --- | --- |
| 9.70 | 22 |
| 22.31 | 17 |
| 23.84 | 100 |
| 29.78 | 87 |
| 30.97 | 19 |
| 33.97 | 56 |
| 45.80 | 54 |
| 48.80 | 20 |
| 55.02 | 21 |
| 69.31 | 17 |

Atomic structure:
Cell lengths 5.2779, 5.2779, 18.2289 Å; angles 90.00, 90.00, 90.00 degrees
Space group I4/mmm (No. 139)
Asymmetric unit:
U 0.0000 0.0000 0.0000 x2
Tl 0.0000 0.0000 0.3811 x4
S 0.0000 0.5000 0.0000 x4
I 0.0000 0.0000 0.1695 x4